No. 1
Tb6Y3Th2: theoretical X-ray diffraction stick pattern (Cu Kα X-rays), based on a DFT-relaxed cell (GGA-PBE, Alexandria).

Principal peaks in the range 5° ≤ 2θ ≤ 70°, low angle first:
two_theta	I/Imax
30.65	100.0
30.82	32.7
35.58	67.1
51.10	25.0
51.32	23.5
60.83	42.7

Structure:
```
data_Tb6Y3Th2
_cell_length_a 31.9843
_cell_length_b 31.9843
_cell_length_c 31.9843
_cell_angle_alpha 6.41
_cell_angle_beta 6.41
_cell_angle_gamma 6.41
_symmetry_space_group_name_H-M 'P 1'
_symmetry_Int_Tables_number 1
loop_
_symmetry_equiv_pos_as_xyz
'x,y,z'
loop_
_atom_site_label
_atom_site_type_symbol
_atom_site_fract_x
_atom_site_fract_y
_atom_site_fract_z
_atom_site_occupancy
Tb1 Tb 0.0915 0.0915 0.0915 1
Tb2 Tb 0.1825 0.1825 0.1825 1
Tb3 Tb 0.3637 0.3637 0.3637 1
Tb4 Tb 0.6363 0.6363 0.6363 1
Tb5 Tb 0.8175 0.8175 0.8175 1
Tb6 Tb 0.9085 0.9085 0.9085 1
Y1 Y 0.0000 0.0000 0.0000 1
Y2 Y 0.2728 0.2728 0.2728 1
Y3 Y 0.7272 0.7272 0.7272 1
Th1 Th 0.4546 0.4546 0.4546 1
Th2 Th 0.5454 0.5454 0.5454 1
```

=====

No. 2
Tb5Y2Th4: theoretical X-ray diffraction stick pattern (Cu Kα X-rays), based on a DFT-relaxed cell (GGA-PBE, Alexandria).

Principal peaks in the range 5° ≤ 2θ ≤ 70°, low angle first:
two_theta	I/Imax
30.61	100.0
30.78	32.7
35.47	45.1
35.67	22.1
51.08	24.2
60.63	19.4

Structure:
```
data_Tb5Y2Th4
_cell_length_a 11.8719
_cell_length_b 11.8719
_cell_length_c 8.7136
_cell_angle_alpha 104.49
_cell_angle_beta 104.49
_cell_angle_gamma 17.37
_symmetry_space_group_name_H-M 'P 1'
_symmetry_Int_Tables_number 1
loop_
_symmetry_equiv_pos_as_xyz
'x,y,z'
loop_
_atom_site_label
_atom_site_type_symbol
_atom_site_fract_x
_atom_site_fract_y
_atom_site_fract_z
_atom_site_occupancy
Tb1 Tb 0.0000 0.0000 0.0000 1
Tb2 Tb 0.2728 0.2728 0.1883 1
Tb3 Tb 0.3631 0.3631 0.9026 1
Tb4 Tb 0.6368 0.6368 0.0974 1
Tb5 Tb 0.7272 0.7272 0.8117 1
Y1 Y 0.0890 0.0890 0.7182 1
Y2 Y 0.9110 0.9110 0.2818 1
Th1 Th 0.1824 0.1824 0.4528 1
Th2 Th 0.4530 0.4530 0.6367 1
Th3 Th 0.5470 0.5470 0.3633 1
Th4 Th 0.8176 0.8176 0.5472 1
```

=====

No. 3
TbYTh4: theoretical X-ray diffraction stick pattern (Cu Kα X-rays), based on a DFT-relaxed cell (GGA-PBE, Alexandria).

Principal peaks in the range 5° ≤ 2θ ≤ 70°, low angle first:
two_theta	I/Imax
25.44	10.1
31.30	100.0
40.76	18.2
44.85	16.0
55.69	19.8
62.18	20.3

Structure:
```
data_TbYTh4
_cell_length_a 3.5014
_cell_length_b 5.7221
_cell_length_c 9.8855
_cell_angle_alpha 90.00
_cell_angle_beta 90.00
_cell_angle_gamma 90.00
_symmetry_space_group_name_H-M 'P 1'
_symmetry_Int_Tables_number 1
loop_
_symmetry_equiv_pos_as_xyz
'x,y,z'
loop_
_atom_site_label
_atom_site_type_symbol
_atom_site_fract_x
_atom_site_fract_y
_atom_site_fract_z
_atom_site_occupancy
Tb1 Tb 0.0000 0.0000 0.0000 1
Y1 Y 0.0000 0.5000 0.5000 1
Th1 Th 0.5000 0.0000 0.3334 1
Th2 Th 0.5000 0.0000 0.6666 1
Th3 Th 0.5000 0.5000 0.1669 1
Th4 Th 0.5000 0.5000 0.8331 1
```

=====

No. 4
TbY3Th4: theoretical X-ray diffraction stick pattern (Cu Kα X-rays), based on a DFT-relaxed cell (GGA-PBE, Alexandria).

Principal peaks in the range 5° ≤ 2θ ≤ 70°, low angle first:
two_theta	I/Imax
15.48	20.4
26.77	25.0
31.07	24.7
31.27	100.0
36.68	32.6
63.04	27.6

Structure:
```
data_TbY3Th4
_cell_length_a 8.9049
_cell_length_b 8.9049
_cell_length_c 8.9049
_cell_angle_alpha 157.72
_cell_angle_beta 99.98
_cell_angle_gamma 84.34
_symmetry_space_group_name_H-M 'P 1'
_symmetry_Int_Tables_number 1
loop_
_symmetry_equiv_pos_as_xyz
'x,y,z'
loop_
_atom_site_label
_atom_site_type_symbol
_atom_site_fract_x
_atom_site_fract_y
_atom_site_fract_z
_atom_site_occupancy
Tb1 Tb 0.0000 0.0000 0.0000 1
Y1 Y 0.2365 0.7365 0.5000 1
Y2 Y 0.5000 0.5000 0.0000 1
Y3 Y 0.7635 0.2635 0.5000 1
Th1 Th 0.1210 0.8700 0.2510 1
Th2 Th 0.3810 0.1300 0.2510 1
Th3 Th 0.6190 0.8700 0.7490 1
Th4 Th 0.8790 0.1300 0.7490 1
```

=====

No. 5
Tb8Y6Th: theoretical X-ray diffraction stick pattern (Cu Kα X-rays), based on a DFT-relaxed cell (GGA-PBE, Alexandria).

Principal peaks in the range 5° ≤ 2θ ≤ 70°, low angle first:
two_theta	I/Imax
30.45	18.2
31.40	100.0
32.38	30.9
34.87	12.3
36.75	15.5
60.19	11.7

Structure:
```
data_Tb8Y6Th
_cell_length_a 8.6539
_cell_length_b 8.6539
_cell_length_c 8.6539
_cell_angle_alpha 63.14
_cell_angle_beta 63.14
_cell_angle_gamma 63.14
_symmetry_space_group_name_H-M 'P 1'
_symmetry_Int_Tables_number 1
loop_
_symmetry_equiv_pos_as_xyz
'x,y,z'
loop_
_atom_site_label
_atom_site_type_symbol
_atom_site_fract_x
_atom_site_fract_y
_atom_site_fract_z
_atom_site_occupancy
Tb1 Tb 0.0768 0.0768 0.0768 1
Tb2 Tb 0.2180 0.2520 0.6124 1
Tb3 Tb 0.2520 0.6124 0.2180 1
Tb4 Tb 0.3876 0.7820 0.7480 1
Tb5 Tb 0.6124 0.2180 0.2520 1
Tb6 Tb 0.7480 0.3876 0.7820 1
Tb7 Tb 0.7820 0.7480 0.3876 1
Tb8 Tb 0.9232 0.9232 0.9232 1
Y1 Y 0.0377 0.7367 0.6019 1
Y2 Y 0.2633 0.3981 0.9623 1
Y3 Y 0.3981 0.9623 0.2633 1
Y4 Y 0.6019 0.0377 0.7367 1
Y5 Y 0.7367 0.6019 0.0377 1
Y6 Y 0.9623 0.2633 0.3981 1
Th1 Th 0.5000 0.5000 0.5000 1
```

=====

No. 6
TbYThZr: theoretical X-ray diffraction stick pattern (Cu Kα X-rays), based on a DFT-relaxed cell (GGA-PBE, Alexandria).

Principal peaks in the range 5° ≤ 2θ ≤ 70°, low angle first:
two_theta	I/Imax
19.78	14.5
32.58	100.0
38.41	8.8
46.75	18.3
58.14	38.3
68.26	11.8

Structure:
```
data_TbYThZr
_cell_length_a 5.4960
_cell_length_b 5.4960
_cell_length_c 5.4960
_cell_angle_alpha 60.00
_cell_angle_beta 60.00
_cell_angle_gamma 60.00
_symmetry_space_group_name_H-M 'P 1'
_symmetry_Int_Tables_number 1
loop_
_symmetry_equiv_pos_as_xyz
'x,y,z'
loop_
_atom_site_label
_atom_site_type_symbol
_atom_site_fract_x
_atom_site_fract_y
_atom_site_fract_z
_atom_site_occupancy
Tb1 Tb 0.0000 0.0000 0.0000 1
Y1 Y 0.2500 0.2500 0.2500 1
Th1 Th 0.7500 0.7500 0.7500 1
Zr1 Zr 0.5000 0.5000 0.5000 1
```